# 1
Starting from a GGA-PBE-relaxed structure, the X-ray powder pattern of TbRuO4 was calculated for Cu Kα (weighted mean of Kα1 and Kα2).
Intensities are scaled so that the largest is 100.

Main lines, low angle first (2θ from 5° to 70°):
2theta	I_rel
29.22	100
29.59	71
30.37	31
31.17	16
33.76	24
46.61	16
51.02	23
56.32	16

Structure:
```
data_TbRuO4
_chemical_formula_sum 'Tb4 Ru4 O16'
_space_group_name_H-M_alt 'P 1'
_space_group_IT_number 1
_space_group_name_Hall 'P 1'
_cell_length_a 7.581
_cell_length_b 5.310
_cell_length_c 7.444
_cell_angle_alpha 90.00
_cell_angle_beta 99.62
_cell_angle_gamma 90.00
loop_
_atom_site_label
_atom_site_fract_x
_atom_site_fract_y
_atom_site_fract_z
Tb1 0.148 0.217 0.395
Tb2 0.148 0.283 0.895
Tb3 0.852 0.717 0.105
Tb4 0.852 0.783 0.605
Ru1 0.342 0.730 0.199
Ru2 0.342 0.770 0.699
Ru3 0.658 0.230 0.301
Ru4 0.658 0.270 0.801
O1 0.113 0.514 0.172
O2 0.113 0.986 0.672
O3 0.179 0.003 0.125
O4 0.179 0.497 0.625
O5 0.334 0.636 0.945
O6 0.334 0.864 0.445
O7 0.438 0.099 0.808
O8 0.438 0.401 0.308
O9 0.562 0.599 0.692
O10 0.562 0.901 0.192
O11 0.666 0.136 0.555
O12 0.666 0.364 0.055
O13 0.821 0.503 0.375
O14 0.821 0.997 0.875
O15 0.887 0.014 0.328
O16 0.887 0.486 0.828
```

***

# 2
Starting from a GGA-PBE-relaxed structure, the X-ray powder pattern of CuGeI2 was calculated for Cu Kα (weighted mean of Kα1 and Kα2).
Intensities are scaled so that the largest is 100.

Main lines, low angle first (2θ from 5° to 70°):
2theta	I_rel
25.99	100
28.71	12
34.27	39
43.51	38
45.30	7
46.99	35
49.25	11
64.11	9

Structure:
```
data_CuGeI2
_chemical_formula_sum 'Cu2 Ge2 I4'
_space_group_name_H-M_alt 'P 1'
_space_group_IT_number 1
_space_group_name_Hall 'P 1'
_cell_length_a 6.926
_cell_length_b 6.926
_cell_length_c 6.926
_cell_angle_alpha 115.41
_cell_angle_beta 115.41
_cell_angle_gamma 98.16
loop_
_atom_site_label
_atom_site_fract_x
_atom_site_fract_y
_atom_site_fract_z
Cu1 0.000 0.000 0.000
Cu2 0.750 0.250 0.500
Ge1 0.250 0.750 0.500
Ge2 0.500 0.500 0.000
I1 0.079 0.625 0.954
I2 0.375 0.329 0.454
I3 0.671 0.125 0.046
I4 0.875 0.921 0.546
```

***

# 3
Starting from a GGA-PBE-relaxed structure, the X-ray powder pattern of ReBAsP was calculated for Cu Kα (weighted mean of Kα1 and Kα2).
Intensities are scaled so that the largest is 100.

Main lines, low angle first (2θ from 5° to 70°):
2theta	I_rel
10.54	100
34.04	11
34.61	27
38.36	12
42.43	9
44.66	8
50.04	9
60.56	8

Structure:
```
data_ReBAsP
_chemical_formula_sum 'Re1 B1 As1 P1'
_space_group_name_H-M_alt 'P 1'
_space_group_IT_number 1
_space_group_name_Hall 'P 1'
_cell_length_a 3.057
_cell_length_b 3.057
_cell_length_c 8.584
_cell_angle_alpha 100.49
_cell_angle_beta 100.49
_cell_angle_gamma 60.05
loop_
_atom_site_label
_atom_site_fract_x
_atom_site_fract_y
_atom_site_fract_z
Re1 0.000 0.000 0.000
B1 0.269 0.269 0.813
As1 0.408 0.408 0.218
P1 0.899 0.899 0.705
```

***

# 4
Starting from a GGA-PBE-relaxed structure, the X-ray powder pattern of CeLuPuCd was calculated for Cu Kα (weighted mean of Kα1 and Kα2).
Intensities are scaled so that the largest is 100.

Main lines, low angle first (2θ from 5° to 70°):
2theta	I_rel
20.46	8
33.72	100
39.77	5
48.44	18
53.11	2
60.32	38
64.40	2

Structure:
```
data_CeLuPuCd
_chemical_formula_sum 'Ce1 Lu1 Pu1 Cd1'
_space_group_name_H-M_alt 'P 1'
_space_group_IT_number 1
_space_group_name_Hall 'P 1'
_cell_length_a 5.315
_cell_length_b 5.315
_cell_length_c 5.315
_cell_angle_alpha 60.00
_cell_angle_beta 60.00
_cell_angle_gamma 60.00
loop_
_atom_site_label
_atom_site_fract_x
_atom_site_fract_y
_atom_site_fract_z
Ce1 0.000 0.000 0.000
Lu1 0.500 0.500 0.500
Pu1 0.250 0.250 0.250
Cd1 0.750 0.750 0.750
```

***

# 5
Starting from a GGA-PBE-relaxed structure, the X-ray powder pattern of Pm3Dy7Th2 was calculated for Cu Kα (weighted mean of Kα1 and Kα2).
Intensities are scaled so that the largest is 100.

Main lines, low angle first (2θ from 5° to 70°):
2theta	I_rel
30.60	100
30.83	33
35.55	67
50.99	24
51.30	24
60.62	10
60.74	24
63.70	12

Structure:
```
data_Pm3Dy7Th2
_chemical_formula_sum 'Pm3 Dy7 Th2'
_space_group_name_H-M_alt 'P 1'
_space_group_IT_number 1
_space_group_name_Hall 'P 1'
_cell_length_a 3.584
_cell_length_b 6.201
_cell_length_c 17.756
_cell_angle_alpha 80.09
_cell_angle_beta 84.21
_cell_angle_gamma 89.96
loop_
_atom_site_label
_atom_site_fract_x
_atom_site_fract_y
_atom_site_fract_z
Pm1 0.000 0.000 0.000
Pm2 0.331 0.665 0.334
Pm3 0.669 0.335 0.666
Dy1 0.083 0.421 0.833
Dy2 0.252 0.242 0.497
Dy3 0.418 0.086 0.169
Dy4 0.500 0.500 0.000
Dy5 0.582 0.914 0.831
Dy6 0.748 0.758 0.503
Dy7 0.917 0.579 0.167
Th1 0.167 0.832 0.668
Th2 0.833 0.168 0.332
```